Structure and theoretical XRD peak list of Ti6InOs (a GGA-PBE-relaxed structure; Cu Kα X-rays).
Lines closer than 0.1° are merged.

Cell and atoms:
Unit cell a=4.402 b=6.731 c=9.146 alpha=90.00 beta=90.00 gamma=90.00
Space group Amm2 (No. 38)
One atom of each set of equivalent atoms:
Ti  0.000  0.000  0.000 (multiplicity 2)
Ti  0.000  0.227  0.246 (multiplicity 4)
Ti  0.500  0.000  0.208 (multiplicity 2)
Ti  0.500  0.229  0.480 (multiplicity 4)
In  0.500  0.000  0.742 (multiplicity 2)
Os  0.000  0.000  0.484 (multiplicity 2)

Peak list (10 most intense, 2θ from 10° to 90°, in order of falling intensity)
2theta, Rel. int., (hkl)
39.0, 100, 1 2 2
16.4, 27, 0 1 1
26.1, 24, 1 1 1
39.4, 24, 0 0 4
41.0, 23, 2 0 0
28.1, 15, 1 0 2
58.2, 14, 2 0 4
73.4, 14, 3 2 2
71.2, 14, 1 2 6
32.2, 11, 0 1 3